Calculated powder XRD pattern
Compound: Zr2Be2GaCo5
Radiation: Cu Kα, 1.54184 Å
Structure: a GGA-PBE-relaxed structure

Top 8 peaks for 5 to 70 degrees two-theta, low angle first:
2θ 36.5, I 78, hkl 2 1 1
2θ 40.7, I 42, hkl 2 2 1
2θ 42.3, I 71, hkl 4 1 0
2θ 43.4, I 100, hkl 3 1 1
2θ 43.6, I 15, hkl 3 3 0
2θ 46.1, I 27, hkl 4 2 0
2θ 47.1, I 26, hkl 3 2 1
2θ 58.6, I 21, hkl 0 0 2

Unit cell a=8.8094 b=8.8094 c=3.1513 alpha=90.00 beta=90.00 gamma=90.00
Atoms (fractional coordinates):
Zr 0.1781 0.3219 0.0000
Zr 0.3219 0.8219 0.0000
Zr 0.6781 0.1781 0.0000
Zr 0.8219 0.6781 0.0000
Be 0.1174 0.6174 0.0000
Be 0.3826 0.1174 0.0000
Be 0.6174 0.8826 0.0000
Be 0.8826 0.3826 0.0000
Ga 0.0000 0.0000 0.0000
Ga 0.5000 0.5000 0.0000
Co 0.0000 0.5000 0.5000
Co 0.0665 0.7842 0.5000
Co 0.2158 0.0665 0.5000
Co 0.2842 0.5665 0.5000
Co 0.4335 0.2842 0.5000
Co 0.5000 0.0000 0.5000
Co 0.5665 0.7158 0.5000
Co 0.7158 0.4335 0.5000
Co 0.7842 0.9335 0.5000
Co 0.9335 0.2158 0.5000